Structure and computed powder diffractogram of PrH2 (the PBE geometry in the Materials Project; Cu Kα X-rays).
Kinematic intensities with the Lorentz-polarization factor, no thermal factor.

Atomic structure:
```
data_PrH2
_chemical_formula_sum 'Pr4 H8'
_cell_length_a 5.561
_cell_length_b 5.561
_cell_length_c 5.561
_cell_angle_alpha 90.00
_cell_angle_beta 90.00
_cell_angle_gamma 90.00
_symmetry_space_group_name_H-M 'F m -3 m'
_symmetry_Int_Tables_number 225
_symmetry_space_group_name_Hall '-F 4 2 3'
loop_
_atom_site_label
_atom_site_fract_x
_atom_site_fract_y
_atom_site_fract_z
Pr1 0.000 0.000 0.000
H1 0.250 0.250 0.250
```

Largest 8 diffraction maxima, low angle first, 2θ from 10° to 80°:
two_theta  d/Å  I_rel  hkl
27.79  3.211  100  1 1 1
32.19  2.780  49  2 0 0
46.17  1.966  39  2 2 0
54.75  1.677  45  3 1 1
57.40  1.605  13  2 2 2
67.36  1.390  6  4 0 0
74.36  1.276  18  3 3 1
76.63  1.243  16  4 2 0


Structure and computed powder diffractogram of HPt3 (the PBE geometry in the Materials Project; Cu Kα X-rays).
Kinematic intensities with the Lorentz-polarization factor, no thermal factor.

Atomic structure:
```
data_HPt3
_chemical_formula_sum 'H2 Pt6'
_cell_length_a 5.5214
_cell_length_b 5.5214
_cell_length_c 4.2190
_cell_angle_alpha 90.00
_cell_angle_beta 90.00
_cell_angle_gamma 120.00
_symmetry_space_group_name_H-M 'P 63/m m c'
_symmetry_Int_Tables_number 194
_symmetry_space_group_name_Hall '-P 6c 2c'
loop_
_atom_site_label
_atom_site_fract_x
_atom_site_fract_y
_atom_site_fract_z
H1 0.3333 0.6667 0.2500
Pt1 0.1715 0.3430 0.7500
```

Largest 10 diffraction maxima, low angle first, 2θ from 10° to 80°:
two_theta  d/Å  I_rel  hkl
18.56  4.782  10  1 0 0
28.21  3.164  40  1 0 1
32.43  2.761  16  1 1 0
37.62  2.391  25  2 0 0
42.87  2.109  23  0 0 2
43.51  2.080  100  2 0 1
55.30  1.661  8  2 1 1
58.34  1.582  14  2 0 2
67.90  1.380  18  2 2 0
78.99  1.212  18  2 0 3


Structure and computed powder diffractogram of HPt3 (the PBE geometry in the Materials Project; Cu Kα X-rays).
Kinematic intensities with the Lorentz-polarization factor, no thermal factor.

Atomic structure:
```
data_HPt3
_chemical_formula_sum 'H1 Pt3'
_cell_length_a 3.818
_cell_length_b 3.818
_cell_length_c 3.818
_cell_angle_alpha 90.00
_cell_angle_beta 90.00
_cell_angle_gamma 90.00
_symmetry_space_group_name_H-M 'P m -3 m'
_symmetry_Int_Tables_number 221
_symmetry_space_group_name_Hall '-P 4 2 3'
loop_
_atom_site_label
_atom_site_fract_x
_atom_site_fract_y
_atom_site_fract_z
H1 0.000 0.000 0.000
Pt1 0.000 0.500 0.500
```

Largest 9 diffraction maxima, low angle first, 2θ from 10° to 80°:
two_theta  d/Å  I_rel  hkl
23.30  3.818  35  1 0 0
33.18  2.700  29  1 1 0
40.94  2.204  100  1 1 1
47.64  1.909  49  2 0 0
53.68  1.707  15  2 1 0
59.29  1.559  11  2 1 1
69.66  1.350  32  2 2 0
74.57  1.273  7  3 0 0
79.36  1.207  5  3 1 0